[1]
Structure and theoretical X-ray powder pattern of TiIn (the GGA-PBE geometry in the Materials Project; Cu Kα).
Peak positions follow from Bragg's law for the DFT cell and can differ from measured ones.

Top 12 peaks for 15 to 90 degrees two-theta, low angle first:
2θ 20.87, 4.257 Å, rel. 17.8
2θ 29.69, 3.009 Å, rel. 15.4
2θ 36.57, 2.457 Å, rel. 100.0
2θ 42.48, 2.128 Å, rel. 48.5
2θ 47.79, 1.903 Å, rel. 8.6
2θ 52.68, 1.738 Å, rel. 6.4
2θ 61.64, 1.505 Å, rel. 30.3
2θ 65.84, 1.419 Å, rel. 4.1
2θ 69.90, 1.346 Å, rel. 2.8
2θ 73.85, 1.283 Å, rel. 34.8
2θ 77.73, 1.229 Å, rel. 10.0
2θ 85.34, 1.137 Å, rel. 3.4

```
TiIn
1.0
3.0091 0.0000 0.0000
0.0000 3.0091 0.0000
0.0000 0.0000 4.2566
Ti In
1 1
Direct
0.0000 0.0000 0.0000 Ti
0.5000 0.5000 0.5000 In
```



[2]
Structure and theoretical X-ray powder pattern of Tm5In3 (the GGA-PBE geometry in the Materials Project; Cu Kα).
Peak positions follow from Bragg's law for the DFT cell and can differ from measured ones.

Top 12 peaks for 15 to 90 degrees two-theta, low angle first:
2θ 27.13, 3.287 Å, rel. 15.7
2θ 29.54, 3.024 Å, rel. 21.8
2θ 30.66, 2.916 Å, rel. 34.6
2θ 33.62, 2.666 Å, rel. 100.0
2θ 33.90, 2.645 Å, rel. 81.0
2θ 34.89, 2.572 Å, rel. 39.5
2θ 49.43, 1.844 Å, rel. 19.6
2θ 52.22, 1.752 Å, rel. 28.6
2θ 55.22, 1.663 Å, rel. 17.0
2θ 55.96, 1.643 Å, rel. 11.0
2θ 67.04, 1.396 Å, rel. 10.1
2θ 67.66, 1.385 Å, rel. 13.6

```
Tm5In3
1.0
7.7248 -4.4489 0.0000
7.7248 4.4489 0.0000
0.0000 0.0000 6.5731
Tm In
10 6
Direct
0.9998 0.2436 0.7500 Tm
0.0002 0.7564 0.2500 Tm
0.2433 0.7567 0.7500 Tm
0.2436 0.9998 0.2500 Tm
0.3333 0.3333 0.0000 Tm
0.3333 0.3333 0.5000 Tm
0.6667 0.6667 0.0000 Tm
0.6667 0.6667 0.5000 Tm
0.7564 0.0002 0.7500 Tm
0.7567 0.2433 0.2500 Tm
0.0002 0.3976 0.2500 In
0.9998 0.6024 0.7500 In
0.3976 0.0002 0.7500 In
0.3980 0.6020 0.2500 In
0.6024 0.9998 0.2500 In
0.6020 0.3980 0.7500 In
```



[3]
Structure and theoretical X-ray powder pattern of TmIn3 (the GGA-PBE geometry in the Materials Project; Cu Kα).
Peak positions follow from Bragg's law for the DFT cell and can differ from measured ones.

Top 12 peaks for 15 to 90 degrees two-theta, low angle first:
2θ 19.23, 4.616 Å, rel. 2.8
2θ 27.32, 3.264 Å, rel. 2.4
2θ 33.63, 2.665 Å, rel. 100.0
2θ 39.02, 2.308 Å, rel. 49.8
2θ 43.85, 2.065 Å, rel. 1.4
2θ 48.29, 1.885 Å, rel. 1.1
2θ 56.37, 1.632 Å, rel. 33.4
2θ 60.13, 1.539 Å, rel. 0.8
2θ 67.27, 1.392 Å, rel. 38.8
2θ 70.69, 1.333 Å, rel. 11.2
2θ 77.34, 1.234 Å, rel. 0.6
2θ 83.82, 1.154 Å, rel. 5.3

```
TmIn3
1.0
4.6164 0.0000 0.0000
0.0000 4.6164 0.0000
0.0000 0.0000 4.6164
Tm In
1 3
Direct
0.0000 0.0000 0.0000 Tm
0.0000 0.5000 0.5000 In
0.5000 0.0000 0.5000 In
0.5000 0.5000 0.0000 In
```